This entry pairs a crystal structure of RbBi3Pb3 with its calculated powder diffraction line list. Radiation: Cu Kα (weighted mean of Kα1 and Kα2). Structure: DFT lattice parameters and positions (GGA-PBE).
Kinematic intensities with the Lorentz-polarization factor, no thermal factor.

Cell and atoms:
```
data_RbBi3Pb3
_cell_length_a 9.2788
_cell_length_b 9.2788
_cell_length_c 25.1163
_cell_angle_alpha 90.00
_cell_angle_beta 90.00
_cell_angle_gamma 120.00
_symmetry_space_group_name_H-M 'R -3'
_symmetry_Int_Tables_number 148
_symmetry_space_group_name_Hall '-R 3'
loop_
_atom_site_label
_atom_site_type_symbol
_atom_site_fract_x
_atom_site_fract_y
_atom_site_fract_z
Rb1 Rb 0.0000 0.0000 0.1671
Bi1 Bi 0.0010 0.6728 0.5869
Pb1 Pb 0.0000 0.3364 0.6218
```

Main lines, in order of rising 2θ (10° ≤ 2θ ≤ 80°):
two_theta  intensity  index
10.6  35  0 0 3
19.1  62  1 1 0
21.9  38  1 1 3
28.7  67  1 1 6
33.5  100  3 0 0
37.6  62  1 1 9
40.0  26  3 0 6
47.0  23  3 0 9
51.2  26  4 -2 9
62.6  29  4 1 9

This entry pairs a crystal structure of K3Rb3CdH8 with its calculated powder diffraction line list. Radiation: Cu Kα (weighted mean of Kα1 and Kα2). Structure: DFT lattice parameters and positions (GGA-PBE).
Kinematic intensities with the Lorentz-polarization factor, no thermal factor.

Cell and atoms:
```
data_K3Rb3CdH8
_cell_length_a 7.7835
_cell_length_b 7.7835
_cell_length_c 19.6303
_cell_angle_alpha 90.00
_cell_angle_beta 90.00
_cell_angle_gamma 120.00
_symmetry_space_group_name_H-M 'R -3 m'
_symmetry_Int_Tables_number 166
_symmetry_space_group_name_Hall '-R 3 2"'
loop_
_atom_site_label
_atom_site_type_symbol
_atom_site_fract_x
_atom_site_fract_y
_atom_site_fract_z
K1 K 0.0000 0.5000 0.0000
Rb1 Rb 0.0000 0.5000 0.5000
Cd1 Cd 0.0000 0.0000 0.0000
H1 H 0.0000 0.0000 0.2556
H2 H 0.0706 0.5353 0.7293
```

Main lines, in order of rising 2θ (10° ≤ 2θ ≤ 80°):
two_theta  intensity  index
13.9  58  1 0 1
26.7  24  1 1 3
27.3  36  0 0 6
28.0  100  2 0 2
32.2  74  0 2 4
45.7  26  2 0 8
46.7  25  2 2 0
54.1  15  0 2 10
54.9  29  2 2 6
55.3  14  0 4 2

This entry pairs a crystal structure of Sr2Mg5Sn3Pb2 with its calculated powder diffraction line list. Radiation: Cu Kα (weighted mean of Kα1 and Kα2). Structure: DFT lattice parameters and positions (GGA-PBE).
Kinematic intensities with the Lorentz-polarization factor, no thermal factor.

Cell and atoms:
```
data_Sr2Mg5Sn3Pb2
_cell_length_a 4.5778
_cell_length_b 4.5778
_cell_length_c 36.0251
_cell_angle_alpha 90.00
_cell_angle_beta 90.00
_cell_angle_gamma 90.00
_symmetry_space_group_name_H-M 'I 4/m m m'
_symmetry_Int_Tables_number 139
_symmetry_space_group_name_Hall '-I 4 2'
loop_
_atom_site_label
_atom_site_type_symbol
_atom_site_fract_x
_atom_site_fract_y
_atom_site_fract_z
Sr1 Sr 0.0000 0.0000 0.2129
Mg1 Mg 0.0000 0.0000 0.0000
Mg2 Mg 0.0000 0.5000 0.1341
Sn1 Sn 0.0000 0.0000 0.3127
Sn2 Sn 0.0000 0.0000 0.5000
Pb1 Pb 0.0000 0.0000 0.0788
```

Main lines, in order of rising 2θ (10° ≤ 2θ ≤ 80°):
two_theta  intensity  index
19.5  27  1 0 1
23.0  92  1 0 5
26.1  98  1 0 7
27.6  100  1 1 0
34.1  41  1 1 8
37.3  42  1 1 10
38.0  35  1 0 13
39.4  60  2 0 0
46.1  31  2 1 5
47.8  39  2 1 7

This entry pairs a crystal structure of Tb6Nd10Sm with its calculated powder diffraction line list. Radiation: Cu Kα (weighted mean of Kα1 and Kα2). Structure: DFT lattice parameters and positions (GGA-PBE).
Kinematic intensities with the Lorentz-polarization factor, no thermal factor.

Cell and atoms:
```
data_Tb6Nd10Sm
_cell_length_a 9.8840
_cell_length_b 9.8840
_cell_length_c 6.9472
_cell_angle_alpha 90.00
_cell_angle_beta 90.00
_cell_angle_gamma 120.00
_symmetry_space_group_name_H-M 'P -3 1 m'
_symmetry_Int_Tables_number 162
_symmetry_space_group_name_Hall '-P 3 2'
loop_
_atom_site_label
_atom_site_type_symbol
_atom_site_fract_x
_atom_site_fract_y
_atom_site_fract_z
Tb1 Tb 0.0000 0.3723 0.3062
Nd1 Nd 0.0000 0.2747 0.8159
Nd2 Nd 0.3333 0.6667 0.0000
Nd3 Nd 0.3333 0.6667 0.5000
Sm1 Sm 0.0000 0.0000 0.5000
```

Main lines, in order of rising 2θ (10° ≤ 2θ ≤ 80°):
two_theta  intensity  index
30.5  43  3 -1 1
31.4  79  3 0 0
31.5  100  1 1 2
40.1  11  4 -1 1
45.0  26  4 -2 2
48.2  14  3 2 1
55.9  24  4 1 2
56.1  18  2 -1 4
58.6  9  6 -2 1
61.8  11  6 -1 1

This entry pairs a crystal structure of Ho3TlOs with its calculated powder diffraction line list. Radiation: Cu Kα (weighted mean of Kα1 and Kα2). Structure: DFT lattice parameters and positions (GGA-PBE).
Kinematic intensities with the Lorentz-polarization factor, no thermal factor.

Cell and atoms:
```
data_Ho3TlOs
_cell_length_a 6.5306
_cell_length_b 9.6300
_cell_length_c 16.3861
_cell_angle_alpha 90.00
_cell_angle_beta 90.00
_cell_angle_gamma 90.00
_symmetry_space_group_name_H-M 'F m m m'
_symmetry_Int_Tables_number 69
_symmetry_space_group_name_Hall '-F 2 2'
loop_
_atom_site_label
_atom_site_type_symbol
_atom_site_fract_x
_atom_site_fract_y
_atom_site_fract_z
Ho1 Ho 0.0000 0.0000 0.2014
Ho2 Ho 0.0000 0.1891 0.3859
Tl1 Tl 0.2174 0.0000 0.0000
Os1 Os 0.2500 0.2500 0.2500
```

Main lines, in order of rising 2θ (10° ≤ 2θ ≤ 80°):
two_theta  intensity  index
21.4  29  0 2 2
28.6  26  0 2 4
31.5  45  1 3 1
31.9  44  1 1 5
35.0  100  2 2 2
35.2  89  2 0 4
37.4  23  0 4 0
37.9  38  0 2 6
56.4  24  4 0 0
57.2  20  1 5 5

This entry pairs a crystal structure of TbTeO5 with its calculated powder diffraction line list. Radiation: Cu Kα (weighted mean of Kα1 and Kα2). Structure: DFT lattice parameters and positions (GGA-PBE).
Kinematic intensities with the Lorentz-polarization factor, no thermal factor.

Cell and atoms:
```
data_TbTeO5
_cell_length_a 3.9074
_cell_length_b 6.5118
_cell_length_c 8.1930
_cell_angle_alpha 90.00
_cell_angle_beta 90.00
_cell_angle_gamma 90.00
_symmetry_space_group_name_H-M 'I m m m'
_symmetry_Int_Tables_number 71
_symmetry_space_group_name_Hall '-I 2 2'
loop_
_atom_site_label
_atom_site_type_symbol
_atom_site_fract_x
_atom_site_fract_y
_atom_site_fract_z
Tb1 Tb 0.0000 0.0000 0.0000
Te1 Te 0.0000 0.0000 0.5000
O1 O 0.0000 0.0000 0.2698
O2 O 0.0000 0.2958 0.5000
O3 O 0.0000 0.5000 0.0000
```

Main lines, in order of rising 2θ (10° ≤ 2θ ≤ 80°):
two_theta  intensity  index
21.7  90  0 0 2
26.6  100  1 1 0
27.4  52  0 2 0
34.6  60  1 1 2
35.2  32  0 2 2
44.2  19  0 0 4
47.9  24  1 3 0
51.8  17  2 0 2
52.4  30  1 1 4
53.2  24  1 3 2

This entry pairs a crystal structure of Sm8ZnGe3Te4 with its calculated powder diffraction line list. Radiation: Cu Kα (weighted mean of Kα1 and Kα2). Structure: DFT lattice parameters and positions (GGA-PBE).
Kinematic intensities with the Lorentz-polarization factor, no thermal factor.

Cell and atoms:
```
data_Sm8ZnGe3Te4
_cell_length_a 8.6276
_cell_length_b 8.6276
_cell_length_c 21.7832
_cell_angle_alpha 90.00
_cell_angle_beta 90.00
_cell_angle_gamma 120.00
_symmetry_space_group_name_H-M 'R -3 m'
_symmetry_Int_Tables_number 166
_symmetry_space_group_name_Hall '-R 3 2"'
loop_
_atom_site_label
_atom_site_type_symbol
_atom_site_fract_x
_atom_site_fract_y
_atom_site_fract_z
Sm1 Sm 0.0000 0.0000 0.2404
Sm2 Sm 0.0080 0.5040 0.7564
Zn1 Zn 0.0000 0.0000 0.5000
Ge1 Ge 0.0000 0.5000 0.5000
Te1 Te 0.0000 0.0000 0.0000
Te2 Te 0.0000 0.5000 0.0000
```

Main lines, in order of rising 2θ (10° ≤ 2θ ≤ 80°):
two_theta  intensity  index
29.0  100  0 2 4
41.0  37  2 0 8
41.9  37  2 2 0
50.3  6  0 0 12
51.7  20  4 0 4
60.1  12  0 4 8
67.4  15  2 2 12
68.7  17  2 4 4
75.9  12  4 2 8
76.5  6  6 0 0

This entry pairs a crystal structure of NbCl6 with its calculated powder diffraction line list. Radiation: Cu Kα (weighted mean of Kα1 and Kα2). Structure: DFT lattice parameters and positions (GGA-PBE).
Kinematic intensities with the Lorentz-polarization factor, no thermal factor.

Cell and atoms:
```
data_NbCl6
_cell_length_a 10.5052
_cell_length_b 11.7043
_cell_length_c 8.5879
_cell_angle_alpha 90.00
_cell_angle_beta 90.00
_cell_angle_gamma 90.00
_symmetry_space_group_name_H-M 'P n m a'
_symmetry_Int_Tables_number 62
loop_
_symmetry_equiv_pos_as_xyz
'x,y,z'
'-x,-y,-z'
'-x+1/2,-y,z+1/2'
'x+1/2,y,-z+1/2'
'x+1/2,-y+1/2,-z+1/2'
'-x+1/2,y+1/2,z+1/2'
'-x,y+1/2,-z'
'x,-y+1/2,z'
loop_
_atom_site_label
_atom_site_type_symbol
_atom_site_fract_x
_atom_site_fract_y
_atom_site_fract_z
Nb1 Nb 0.1332 0.2500 0.0503
Cl1 Cl 0.0147 0.1110 0.2047
Cl2 Cl 0.0170 0.7500 0.1431
Cl3 Cl 0.2391 0.6045 0.4575
Cl4 Cl 0.2413 0.7500 0.7997
```

Main lines, in order of rising 2θ (10° ≤ 2θ ≤ 80°):
two_theta  intensity  index
12.8  39  0 1 1
13.3  72  1 0 1
15.1  50  0 2 0
15.3  100  1 1 1
18.5  24  2 1 0
20.2  36  1 2 1
26.8  16  2 0 2
30.4  38  2 3 1
47.6  18  4 1 3
50.5  16  5 3 1

This entry pairs a crystal structure of KPm2ZnTe4 with its calculated powder diffraction line list. Radiation: Cu Kα (weighted mean of Kα1 and Kα2). Structure: DFT lattice parameters and positions (GGA-PBE).
Kinematic intensities with the Lorentz-polarization factor, no thermal factor.

Cell and atoms:
```
data_KPm2ZnTe4
_cell_length_a 4.4295
_cell_length_b 15.5023
_cell_length_c 15.8568
_cell_angle_alpha 90.00
_cell_angle_beta 90.00
_cell_angle_gamma 90.00
_symmetry_space_group_name_H-M 'C m c m'
_symmetry_Int_Tables_number 63
_symmetry_space_group_name_Hall '-C 2c 2'
loop_
_atom_site_label
_atom_site_type_symbol
_atom_site_fract_x
_atom_site_fract_y
_atom_site_fract_z
K1 K 0.0000 0.1155 0.2500
Pm1 Pm 0.0000 0.3706 0.0548
Zn1 Zn 0.0000 0.1617 0.7500
Te1 Te 0.0000 0.0000 0.0000
Te2 Te 0.0000 0.2677 0.6165
Te3 Te 0.0000 0.4367 0.2500
```

Main lines, in order of rising 2θ (10° ≤ 2θ ≤ 80°):
two_theta  intensity  index
12.7  51  0 2 1
25.2  61  0 2 4
26.5  26  1 3 0
27.1  78  1 3 1
28.8  100  1 3 2
30.5  40  0 2 5
35.3  36  1 1 5
38.8  26  0 6 3
39.4  62  1 5 3
40.7  40  2 0 0

This entry pairs a crystal structure of PuIn2Hg6 with its calculated powder diffraction line list. Radiation: Cu Kα (weighted mean of Kα1 and Kα2). Structure: DFT lattice parameters and positions (GGA-PBE).
Kinematic intensities with the Lorentz-polarization factor, no thermal factor.

Cell and atoms:
```
data_PuIn2Hg6
_cell_length_a 12.0602
_cell_length_b 5.0692
_cell_length_c 9.6225
_cell_angle_alpha 90.00
_cell_angle_beta 128.64
_cell_angle_gamma 90.00
_symmetry_space_group_name_H-M 'C 1 2/m 1'
_symmetry_Int_Tables_number 12
loop_
_symmetry_equiv_pos_as_xyz
'x,y,z'
'-x,-y,-z'
'-x,y,-z'
'x,-y,z'
'x+1/2,y+1/2,z'
'-x+1/2,-y+1/2,-z'
'-x+1/2,y+1/2,-z'
'x+1/2,-y+1/2,z'
loop_
_atom_site_label
_atom_site_type_symbol
_atom_site_fract_x
_atom_site_fract_y
_atom_site_fract_z
Pu1 Pu 0.0000 0.0000 0.0000
In1 In 0.1908 0.5000 0.0031
Hg1 Hg 0.0211 0.0000 0.3563
Hg2 Hg 0.1427 0.5000 0.2888
Hg3 Hg 0.1653 0.5000 0.6454
```

Main lines, in order of rising 2θ (10° ≤ 2θ ≤ 80°):
two_theta  intensity  index
32.0  5  4 0 -1
33.6  100  3 1 -3
35.4  30  0 2 0
35.5  5  1 1 -3
35.8  18  0 0 3
45.1  11  6 0 -3
51.3  13  0 2 3
58.6  10  6 2 -3
62.4  17  3 3 -3
63.1  5  3 1 -6